[1]
NaLaDyMnO6: calculated XRD peak list (Cu Kα, 1.54184 Å), based on a DFT-relaxed cell (GGA+U, the Materials Project).
Intensities are scaled so that the largest is 100.

Main lines, sorted by position (2θ from 10° to 90°):
2theta, I (rel.)
18.9, 39
31.1, 100
36.6, 26
44.6, 34
48.8, 13
55.3, 39
64.9, 20
73.7, 17

Atomic structure:
a = 5.7506 Å, b = 5.7506 Å, c = 5.7506 Å
α = 60.00°, β = 60.00°, γ = 60.00°
Atoms (fractional coordinates):
Na1 0.0000 0.0000 0.0000
La1 0.5000 0.5000 0.5000
Dy1 0.2500 0.2500 0.2500
Mn1 0.7500 0.7500 0.7500
O1 0.5175 0.5175 0.9825
O2 0.5175 0.9825 0.5175
O3 0.5175 0.9825 0.9825
O4 0.9825 0.5175 0.5175
O5 0.9825 0.5175 0.9825
O6 0.9825 0.9825 0.5175

***

[2]
Li5Co2Cu2P4O16: calculated XRD peak list (Cu Kα, 1.54184 Å), based on a DFT-relaxed cell (GGA+U, the Materials Project).
Intensities are scaled so that the largest is 100.

Main lines, sorted by position (2θ from 10° to 90°):
2theta, I (rel.)
17.4, 60
19.8, 80
25.2, 64
28.8, 100
31.3, 32
35.6, 31
36.3, 37
38.6, 34

Atomic structure:
a = 4.8582 Å, b = 6.2143 Å, c = 10.2357 Å
α = 87.84°, β = 86.98°, γ = 89.11°
Atoms (fractional coordinates):
Li1 0.0000 0.0000 0.0000
Li2 0.0619 0.4925 0.1132
Li3 0.4145 0.0232 0.5056
Li4 0.4900 0.5136 0.4435
Li5 0.8498 0.5375 0.8508
Co1 0.4107 0.7756 0.7655
Co2 0.4999 0.2456 0.1956
Cu1 0.0404 0.7850 0.2832
Cu2 0.8710 0.2450 0.6850
P1 0.0414 0.2680 0.3830
P2 0.3551 0.2681 0.8852
P3 0.5584 0.7600 0.0771
P4 0.8662 0.7662 0.5819
O1 0.1360 0.2767 0.5253
O2 0.1797 0.4620 0.3014
O3 0.1801 0.7849 0.5886
O4 0.1985 0.0706 0.3207
O5 0.2264 0.0671 0.8261
O6 0.2313 0.4797 0.8235
O7 0.2386 0.7691 0.0935
O8 0.2553 0.2589 0.0344
O9 0.6561 0.7667 0.9295
O10 0.6726 0.2640 0.8693
O11 0.6758 0.5481 0.1418
O12 0.6883 0.9580 0.1392
O13 0.7009 0.9652 0.6391
O14 0.7266 0.2630 0.3749
O15 0.7424 0.5748 0.6687
O16 0.7747 0.7441 0.4399

***

[3]
MgMn3P3O13: calculated XRD peak list (Cu Kα, 1.54184 Å), based on a DFT-relaxed cell (GGA+U, the Materials Project).
Intensities are scaled so that the largest is 100.

Main lines, sorted by position (2θ from 10° to 90°):
2theta, I (rel.)
19.3, 100
23.5, 79
26.5, 53
28.9, 67
30.2, 47
30.8, 71
32.2, 41
33.1, 51

Atomic structure:
a = 7.7068 Å, b = 6.1809 Å, c = 10.3012 Å
α = 90.00°, β = 100.28°, γ = 90.00°
Atoms (fractional coordinates):
Mg1 0.1327 0.2500 0.1675
Mg2 0.8673 0.7500 0.8325
Mn1 0.1491 0.2500 0.7918
Mn2 0.2713 0.7500 0.4298
Mn3 0.5000 0.0000 0.0000
Mn4 0.5000 0.5000 0.0000
Mn5 0.7287 0.2500 0.5702
Mn6 0.8509 0.7500 0.2082
P1 0.1776 0.7500 0.1114
P2 0.2343 0.7500 0.7598
P3 0.2872 0.2500 0.5069
P4 0.7128 0.7500 0.4931
P5 0.7657 0.2500 0.2402
P6 0.8224 0.2500 0.8886
O1 0.0028 0.2500 0.9797
O2 0.1141 0.5595 0.7897
O3 0.1141 0.9405 0.7897
O4 0.1232 0.7500 0.2514
O5 0.1507 0.2500 0.5987
O6 0.2494 0.0579 0.4060
O7 0.2494 0.4421 0.4060
O8 0.2797 0.7500 0.6234
O9 0.2821 0.5365 0.1027
O10 0.2821 0.9635 0.1027
O11 0.3830 0.2500 0.9073
O12 0.4053 0.7500 0.8662
O13 0.4738 0.2500 0.5863
O14 0.5262 0.7500 0.4137
O15 0.5947 0.2500 0.1338
O16 0.6170 0.7500 0.0927
O17 0.7179 0.0365 0.8973
O18 0.7179 0.4635 0.8973
O19 0.7203 0.2500 0.3766
O20 0.7506 0.5579 0.5940
O21 0.7506 0.9421 0.5940
O22 0.8493 0.7500 0.4013
O23 0.8768 0.2500 0.7486
O24 0.8859 0.0595 0.2103
O25 0.8859 0.4405 0.2103
O26 0.9972 0.7500 0.0203

***

[4]
MgCr3O7: calculated XRD peak list (Cu Kα, 1.54184 Å), based on a DFT-relaxed cell (GGA+U, the Materials Project).
Intensities are scaled so that the largest is 100.

Main lines, sorted by position (2θ from 10° to 90°):
2theta, I (rel.)
17.7, 100
25.9, 31
30.0, 78
31.0, 38
35.9, 22
49.3, 17
50.1, 22
52.8, 22

Atomic structure:
a = 10.0077 Å, b = 10.2615 Å, c = 5.3405 Å
α = 90.00°, β = 90.00°, γ = 90.00°
Atoms (fractional coordinates):
Mg1 0.0668 0.2500 0.1525
Mg2 0.4332 0.7500 0.6525
Mg3 0.5668 0.2500 0.3475
Mg4 0.9332 0.7500 0.8475
Cr1 0.1905 0.5229 0.7016
Cr2 0.1905 0.9771 0.7016
Cr3 0.2247 0.7500 0.1926
Cr4 0.2753 0.2500 0.6926
Cr5 0.3095 0.0229 0.2016
Cr6 0.3095 0.4771 0.2016
Cr7 0.6905 0.5229 0.7984
Cr8 0.6905 0.9771 0.7984
Cr9 0.7247 0.7500 0.3074
Cr10 0.7753 0.2500 0.8074
Cr11 0.8095 0.0229 0.2984
Cr12 0.8095 0.4771 0.2984
O1 0.0392 0.5926 0.7266
O2 0.0392 0.9074 0.7266
O3 0.0552 0.7500 0.1558
O4 0.2134 0.1188 0.4594
O5 0.2134 0.3812 0.4594
O6 0.2148 0.1200 0.9429
O7 0.2148 0.3800 0.9429
O8 0.2852 0.6200 0.4429
O9 0.2852 0.8800 0.4429
O10 0.2866 0.6188 0.9594
O11 0.2866 0.8812 0.9594
O12 0.4448 0.2500 0.6558
O13 0.4608 0.0926 0.2266
O14 0.4608 0.4074 0.2266
O15 0.5392 0.5926 0.7734
O16 0.5392 0.9074 0.7734
O17 0.5552 0.7500 0.3442
O18 0.7134 0.1188 0.0406
O19 0.7134 0.3812 0.0406
O20 0.7148 0.1200 0.5571
O21 0.7148 0.3800 0.5571
O22 0.7852 0.6200 0.0571
O23 0.7852 0.8800 0.0571
O24 0.7866 0.6188 0.5406
O25 0.7866 0.8812 0.5406
O26 0.9448 0.2500 0.8442
O27 0.9608 0.0926 0.2734
O28 0.9608 0.4074 0.2734

***

[5]
MgCr2O4: calculated XRD peak list (Cu Kα, 1.54184 Å), based on a DFT-relaxed cell (GGA+U, the Materials Project).
Intensities are scaled so that the largest is 100.

Main lines, sorted by position (2θ from 10° to 90°):
2theta, I (rel.)
30.0, 94
34.5, 100
35.0, 78
35.0, 98
35.8, 99
42.1, 67
62.4, 69
62.5, 69

Atomic structure:
a = 5.9603 Å, b = 5.9603 Å, c = 14.7828 Å
α = 92.58°, β = 92.58°, γ = 60.51°
Atoms (fractional coordinates):
Mg1 0.0000 0.0000 0.0000
Mg2 0.0046 0.0046 0.3740
Mg3 0.1724 0.1724 0.2080
Mg4 0.5010 0.5010 0.8759
Mg5 0.6706 0.6706 0.7098
Mg6 0.8378 0.8378 0.5421
Cr1 0.0041 0.5016 0.8759
Cr2 0.0047 0.0047 0.7518
Cr3 0.1727 0.6754 0.2071
Cr4 0.3363 0.3363 0.6664
Cr5 0.3374 0.8376 0.5420
Cr6 0.3385 0.3385 0.4162
Cr7 0.3386 0.3386 0.0387
Cr8 0.5016 0.0041 0.8759
Cr9 0.6721 0.6721 0.3341
Cr10 0.6754 0.1727 0.2071
Cr11 0.6759 0.6759 0.0816
Cr12 0.8376 0.3374 0.5420
O1 0.0156 0.0156 0.6177
O2 0.0305 0.4942 0.1231
O3 0.1590 0.6887 0.4593
O4 0.1650 0.1650 0.4687
O5 0.1821 0.1821 0.9527
O6 0.1864 0.6372 0.9577
O7 0.3221 0.3221 0.7988
O8 0.3241 0.8487 0.2899
O9 0.3497 0.3497 0.2819
O10 0.3528 0.8232 0.7948
O11 0.4942 0.0305 0.1231
O12 0.4941 0.4941 0.1309
O13 0.5106 0.5106 0.6148
O14 0.5157 0.9852 0.6242
O15 0.6372 0.1864 0.9577
O16 0.6594 0.6594 0.4665
O17 0.6801 0.6801 0.9505
O18 0.6887 0.1590 0.4593
O19 0.8232 0.3528 0.7948
O20 0.8303 0.8303 0.8038
O21 0.8455 0.8455 0.2794
O22 0.8487 0.3241 0.2899
O23 0.9852 0.5157 0.6242
O24 0.9995 0.9995 0.1357